Diffraction record for KCoPH2O5. The PXRD pattern is theoretical, not measured: it uses a PBE+U-relaxed structure and CuKα.
Lines closer than 0.1° are merged.

Largest 6 diffraction maxima, low angle first, 2θ from 10° to 90°:
d/Å	2θ/deg	I_rel	h k l
8.397	10.53	1000	0 1 0
4.195	21.18	501	0 2 2
2.818	31.76	571	2 0 0
2.792	32.06	398	1 -1 2
2.777	32.24	355	1 3 2
2.745	32.62	657	1 1 -2

Atomic structure:
```
KCoPH2O5
1.0
5.6373 0.0000 0.0000
0.0828 9.6812 0.0000
0.2460 4.8187 8.3993
K Co P H O
4 4 4 8 20
Direct
0.0000 0.0000 0.0000 K
0.0110 0.0020 0.4993 K
0.5010 0.9225 0.2889 K
0.5193 0.9213 0.7881 K
0.0123 0.4474 0.3371 Co
0.4934 0.4774 0.5741 Co
0.5167 0.4753 0.0739 Co
0.9967 0.4469 0.8353 Co
0.0283 0.6722 0.9407 P
0.5002 0.2502 0.9010 P
0.5112 0.2521 0.4015 P
0.9894 0.6728 0.4393 P
0.1641 0.2599 0.6209 H
0.1764 0.2574 0.1078 H
0.3442 0.6696 0.1504 H
0.4054 0.6485 0.7205 H
0.6092 0.6486 0.2164 H
0.6716 0.6691 0.6452 H
0.8884 0.2728 0.6487 H
0.9067 0.2744 0.1521 H
0.0050 0.8516 0.3208 O
0.0057 0.2490 0.5858 O
0.0089 0.2484 0.0837 O
0.0117 0.8505 0.8210 O
0.0417 0.6458 0.1120 O
0.2069 0.5788 0.4226 O
0.2543 0.5967 0.9024 O
0.2810 0.3335 0.7907 O
0.2990 0.3421 0.2872 O
0.4917 0.2791 0.0448 O
0.4990 0.6737 0.6219 O
0.5022 0.0712 0.9605 O
0.5018 0.2809 0.5450 O
0.5053 0.0730 0.4607 O
0.5157 0.6744 0.1212 O
0.7217 0.3369 0.7868 O
0.7391 0.3320 0.2903 O
0.7676 0.5956 0.4035 O
0.8141 0.5756 0.9277 O
0.9684 0.6451 0.6117 O
```